1.
For MnFe2Pb2O3F12, a crystal structure in Alexandria, relaxed with GGA+U gives the simulated powder X-ray diffraction pattern in this record (Cu Kα (weighted mean of Kα1 and Kα2)).
Peak positions follow from Bragg's law for the DFT cell and can differ from measured ones.

Largest 10 diffraction maxima, by intensity, 15° ≤ 2θ ≤ 90°:
hkl  d [Å]  I/Imax
0 0 2  4.534  100
1 3 1  3.007  99
1 2 0  3.577  63
0 5 1  2.973  34
1 6 2  1.977  33
1 3 3  2.191  32
0 2 2  3.920  27
2 0 0  2.009  22
0 3 3  2.614  20
2 0 2  1.837  19

Cell and atoms:
```
data_MnFe2Pb2O3F12
_chemical_formula_sum 'Mn2 Fe4 Pb4 O6 F24'
_cell_length_a 4.0183
_cell_length_b 15.7584
_cell_length_c 9.0389
_cell_angle_alpha 90.00
_cell_angle_beta 90.00
_cell_angle_gamma 90.00
_space_group_name_H-M_alt 'A m m 2'
_space_group_IT_number 38
loop_
_space_group_symop_operation_xyz
'x,y,z'
'-x,-y,z'
'-x,y,z'
'x,-y,z'
'x,y+1/2,z+1/2'
'-x,-y+1/2,z+1/2'
'-x,y+1/2,z+1/2'
'x,-y+1/2,z+1/2'
loop_
_atom_site_label
_atom_site_fract_x
_atom_site_fract_y
_atom_site_fract_z
_atom_site_occupancy
Mn1 0.0000 0.0000 0.0000 1
Fe1 0.0000 0.1194 0.3568 1
Pb1 0.5000 0.1682 0.7371 1
O1 0.5000 0.0000 0.6700 1
O2 0.5000 0.2203 0.0235 1
F1 0.0000 0.0000 0.4097 1
F2 0.0000 0.0860 0.1474 1
F3 0.0000 0.0859 0.8562 1
F4 0.0000 0.1464 0.5638 1
F5 0.0000 0.2358 0.2945 1
F6 0.5000 0.0000 0.0001 1
F7 0.5000 0.1190 0.3546 1
```

2.
For MnFe2PbF8, a crystal structure in Alexandria, relaxed with GGA+U gives the simulated powder X-ray diffraction pattern in this record (Cu Kα (weighted mean of Kα1 and Kα2)).
Peak positions follow from Bragg's law for the DFT cell and can differ from measured ones.

Largest 10 diffraction maxima, by intensity, 15° ≤ 2θ ≤ 90°:
hkl  d [Å]  I/Imax
2 0 0  3.760  100
1 1 2  2.918  72
3 1 2  1.965  67
1 0 1  5.116  49
5 3 2  1.210  23
1 1 0  5.318  23
3 3 2  1.581  22
2 1 1  3.030  20
4 0 0  1.880  18
3 0 1  2.359  18

Cell and atoms:
```
data_MnFe2PbF8
_chemical_formula_sum 'Mn2 Fe4 Pb2 F16'
_cell_length_a 7.5208
_cell_length_b 7.5208
_cell_length_c 6.9809
_cell_angle_alpha 90.00
_cell_angle_beta 90.00
_cell_angle_gamma 90.00
_space_group_name_H-M_alt 'I -4 m 2'
_space_group_IT_number 119
_space_group_name_Hall 'I -4 -2'
loop_
_atom_site_label
_atom_site_fract_x
_atom_site_fract_y
_atom_site_fract_z
_atom_site_occupancy
Mn1 0.0000 0.0000 0.0000 1
Fe1 0.0000 0.0000 0.5000 1
Fe2 0.0000 0.5000 0.7500 1
Pb1 0.0000 0.5000 0.2500 1
F1 0.0000 0.1764 0.2926 1
F2 0.0000 0.2951 0.9280 1
```